No. 1
La5Ga4SnSb10: calculated powder X-ray diffraction pattern (Cu Kα (weighted mean of Kα1 and Kα2)), based on a crystal structure in Alexandria, relaxed with GGA-PBE.
Peak positions follow from Bragg's law for the DFT cell and can differ from measured ones.

Atomic structure:
```
La5Ga4SnSb10
1.0
4.4531 0.0000 0.0000
-0.0203 11.7788 0.0000
-0.0010 -4.1698 21.7732
La Ga Sn Sb
10 8 2 20
Direct
0.0000 0.0000 0.0000 La
0.9996 0.0046 0.7999 La
0.4873 0.5610 0.0566 La
0.4887 0.5568 0.8548 La
0.4942 0.5562 0.6571 La
0.4955 0.5618 0.2603 La
0.4992 0.5574 0.4601 La
0.9885 0.0052 0.4052 La
0.9916 0.0001 0.2036 La
0.9946 0.0060 0.6026 La
0.2431 0.2811 0.5999 Ga
0.2432 0.2809 0.7946 Ga
0.2442 0.2808 0.1887 Ga
0.2436 0.2810 0.4043 Ga
0.2444 0.2809 0.9808 Ga
0.7434 0.2811 0.4637 Ga
0.7431 0.2810 0.6592 Ga
0.7434 0.2808 0.8538 Ga
0.7445 0.2807 0.0553 Sn
0.7440 0.2809 0.2628 Sn
0.0003 0.4667 0.3512 Sb
0.4869 0.0949 0.3139 Sb
0.4913 0.0933 0.1117 Sb
0.4907 0.7826 0.3817 Sb
0.4925 0.1028 0.5129 Sb
0.4923 0.7804 0.1803 Sb
0.4938 0.7825 0.5806 Sb
0.4962 0.7817 0.7789 Sb
0.4971 0.1023 0.7115 Sb
0.4969 0.7801 0.9785 Sb
0.5017 0.0971 0.9095 Sb
0.9860 0.4647 0.9464 Sb
0.9908 0.7809 0.0796 Sb
0.9916 0.4598 0.7469 Sb
0.9920 0.7797 0.8783 Sb
0.9954 0.4682 0.1495 Sb
0.9950 0.7798 0.6793 Sb
0.9950 0.7813 0.2815 Sb
0.9960 0.4593 0.5482 Sb
0.9967 0.7801 0.4810 Sb
```

Top 10 peaks for 15 to 90 degrees two-theta, low angle first:
d_spacing  I_rel
3.529  15
2.910  100
2.892  21
2.650  24
2.600  38
2.217  14
1.927  11
1.571  13
1.385  18
1.380  15

***

No. 2
Na2NdH8Ir: calculated powder X-ray diffraction pattern (Cu Kα (weighted mean of Kα1 and Kα2)), based on a crystal structure in Alexandria, relaxed with GGA-PBE.
Peak positions follow from Bragg's law for the DFT cell and can differ from measured ones.

Atomic structure:
```
Na2NdH8Ir
1.0
4.8178 0.0000 0.0000
-2.4089 4.1724 0.0000
0.0000 0.0000 6.2659
Na Nd H Ir
2 1 8 1
Direct
0.3333 0.6667 0.3627 Na
0.6667 0.3333 0.6373 Na
0.0000 0.0000 0.0000 Nd
0.1598 0.3196 0.6637 H
0.1598 0.8402 0.6637 H
0.3196 0.1598 0.3363 H
0.3333 0.6667 0.0098 H
0.6667 0.3333 0.9902 H
0.6804 0.8402 0.6637 H
0.8402 0.1598 0.3363 H
0.8402 0.6804 0.3363 H
0.0000 0.0000 0.5000 Ir
```

Top 10 peaks for 15 to 90 degrees two-theta, low angle first:
d_spacing  I_rel
4.172  100
3.133  18
2.505  64
2.409  37
2.086  15
1.910  27
1.736  22
1.577  13
1.467  14
1.409  22

***

No. 3
LiSiNi4: calculated powder X-ray diffraction pattern (Cu Kα (weighted mean of Kα1 and Kα2)), based on a crystal structure in Alexandria, relaxed with GGA-PBE.
Peak positions follow from Bragg's law for the DFT cell and can differ from measured ones.

Atomic structure:
```
LiSiNi4
1.0
1.8652 -4.6172 0.0000
1.8652 4.6172 0.0000
0.0000 0.0000 3.7170
Li Si Ni
1 1 4
Direct
0.0000 0.0000 0.0000 Li
0.5000 0.5000 0.5000 Si
0.1589 0.8411 0.5000 Ni
0.3419 0.6581 0.0000 Ni
0.6581 0.3419 0.0000 Ni
0.8411 0.1589 0.5000 Ni
```

Top 10 peaks for 15 to 90 degrees two-theta, low angle first:
d_spacing  I_rel
4.617  15
2.532  28
2.309  9
2.001  100
1.865  20
1.858  20
1.539  10
1.317  12
1.101  13
1.098  13